The following is a theoretical X-ray diffraction stick pattern of PaMn2GaSi. It was derived from the GGA-PBE geometry in Alexandria, using copper Kα.
Kinematic intensities with the Lorentz-polarization factor, no thermal factor.

Atomic structure:
abc: 5.936 5.936 5.575
angles: 90.00 90.00 123.91
Fractional coordinates of all 10 atoms:
Pa (0.250, 0.750, 0.750)
Pa (0.750, 0.250, 0.250)
Mn (0.243, 0.243, 0.000)
Mn (0.243, 0.243, 0.500)
Mn (0.757, 0.757, 0.000)
Mn (0.757, 0.757, 0.500)
Ga (0.366, 0.634, 0.250)
Ga (0.634, 0.366, 0.750)
Si (0.130, 0.870, 0.250)
Si (0.870, 0.130, 0.750)

Principal peaks in the range 2θ from 10° to 80°, sorted by position:
2theta, I_rel
16.92, 18
24.11, 52
32.09, 27
34.28, 94
36.50, 100
46.02, 41
49.24, 35
52.61, 14
58.62, 47
62.78, 16
69.68, 26
78.89, 21

---

The following is a theoretical X-ray diffraction stick pattern of Mn5GaPd6. It was derived from the GGA-PBE geometry in Alexandria, using copper Kα.
Kinematic intensities with the Lorentz-polarization factor, no thermal factor.

Atomic structure:
abc: 7.722 7.722 7.722
angles: 146.07 134.72 57.77
Fractional coordinates of all 12 atoms:
Mn (0.000, 0.000, 0.000)
Mn (0.167, 0.667, 0.500)
Mn (0.330, 0.330, 0.000)
Mn (0.670, 0.670, 0.000)
Mn (0.833, 0.333, 0.500)
Ga (0.500, 0.000, 0.500)
Pd (0.087, 0.835, 0.252)
Pd (0.253, 0.500, 0.753)
Pd (0.416, 0.165, 0.252)
Pd (0.584, 0.835, 0.748)
Pd (0.747, 0.500, 0.247)
Pd (0.913, 0.165, 0.748)

Principal peaks in the range 2θ from 10° to 80°, sorted by position:
2theta, I_rel
28.00, 13
30.06, 5
40.01, 56
41.54, 100
50.84, 5
57.86, 18
62.49, 7
65.49, 2
66.58, 2
69.83, 2
73.72, 34
76.83, 15

---

The following is a theoretical X-ray diffraction stick pattern of Mn5Ga2Pd12. It was derived from the GGA-PBE geometry in Alexandria, using copper Kα.
Kinematic intensities with the Lorentz-polarization factor, no thermal factor.

Atomic structure:
abc: 7.372 7.372 5.956
angles: 91.69 91.69 66.49
Fractional coordinates of all 19 atoms:
Mn (0.000, 0.000, 0.000)
Mn (0.244, 0.244, 0.036)
Mn (0.330, 0.330, 0.580)
Mn (0.670, 0.670, 0.420)
Mn (0.756, 0.756, 0.964)
Ga (0.246, 0.754, 0.500)
Ga (0.754, 0.246, 0.500)
Pd (0.043, 0.573, 0.300)
Pd (0.119, 0.119, 0.394)
Pd (0.171, 0.623, 0.891)
Pd (0.377, 0.829, 0.109)
Pd (0.427, 0.957, 0.700)
Pd (0.453, 0.453, 0.236)
Pd (0.547, 0.547, 0.764)
Pd (0.573, 0.043, 0.300)
Pd (0.623, 0.171, 0.891)
Pd (0.829, 0.377, 0.109)
Pd (0.881, 0.881, 0.606)
Pd (0.957, 0.427, 0.700)

Principal peaks in the range 2θ from 10° to 80°, sorted by position:
2theta, I_rel
33.17, 10
39.62, 10
39.98, 96
40.19, 100
40.69, 11
44.85, 38
46.25, 29
48.71, 25
66.39, 16
68.36, 15
79.40, 11
79.53, 10

---

The following is a theoretical X-ray diffraction stick pattern of MnGa2Pd. It was derived from the GGA-PBE geometry in Alexandria, using copper Kα.
Kinematic intensities with the Lorentz-polarization factor, no thermal factor.

Atomic structure:
abc: 4.263 4.263 4.263
angles: 60.00 60.00 60.00
Fractional coordinates of all 4 atoms:
Mn (0.000, 0.000, 0.000)
Ga (0.250, 0.250, 0.250)
Ga (0.750, 0.750, 0.750)
Pd (0.500, 0.500, 0.500)

Principal peaks in the range 2θ from 10° to 80°, sorted by position:
2theta, I_rel
25.59, 7
42.41, 100
50.19, 4
61.53, 16
67.76, 2
77.59, 31

---

The following is a theoretical X-ray diffraction stick pattern of Pm4Mn3Ga16. It was derived from the GGA-PBE geometry in Alexandria, using copper Kα.
Kinematic intensities with the Lorentz-polarization factor, no thermal factor.

Atomic structure:
abc: 6.161 6.161 11.411
angles: 90.00 90.00 90.00
Fractional coordinates of all 23 atoms:
Pm (0.000, 0.500, 0.192)
Pm (0.000, 0.500, 0.808)
Pm (0.500, 0.000, 0.192)
Pm (0.500, 0.000, 0.808)
Mn (0.000, 0.000, 0.000)
Mn (0.000, 0.500, 0.500)
Mn (0.500, 0.000, 0.500)
Ga (0.000, 0.000, 0.219)
Ga (0.000, 0.000, 0.781)
Ga (0.249, 0.249, 0.383)
Ga (0.249, 0.249, 0.617)
Ga (0.249, 0.751, 0.383)
Ga (0.249, 0.751, 0.617)
Ga (0.284, 0.284, 0.000)
Ga (0.284, 0.716, 0.000)
Ga (0.500, 0.500, 0.193)
Ga (0.500, 0.500, 0.807)
Ga (0.716, 0.284, 0.000)
Ga (0.716, 0.716, 0.000)
Ga (0.751, 0.249, 0.383)
Ga (0.751, 0.249, 0.617)
Ga (0.751, 0.751, 0.383)
Ga (0.751, 0.751, 0.617)

Principal peaks in the range 2θ from 10° to 80°, sorted by position:
2theta, I_rel
20.39, 14
30.05, 15
31.22, 20
33.05, 50
37.57, 100
39.49, 27
41.45, 67
43.22, 15
58.58, 32
60.07, 21
73.07, 37
74.29, 15

---

The following is a theoretical X-ray diffraction stick pattern of PmMnGa5Pt2. It was derived from the GGA-PBE geometry in Alexandria, using copper Kα.
Kinematic intensities with the Lorentz-polarization factor, no thermal factor.

Atomic structure:
abc: 4.296 4.296 10.110
angles: 90.00 90.00 90.00
Fractional coordinates of all 9 atoms:
Pm (0.000, 0.000, 0.000)
Mn (0.000, 0.000, 0.500)
Ga (0.000, 0.500, 0.358)
Ga (0.000, 0.500, 0.642)
Ga (0.500, 0.000, 0.358)
Ga (0.500, 0.000, 0.642)
Ga (0.500, 0.500, 0.000)
Pt (0.500, 0.500, 0.231)
Pt (0.500, 0.500, 0.769)

Principal peaks in the range 2θ from 10° to 80°, sorted by position:
2theta, I_rel
20.67, 24
26.45, 9
27.24, 100
29.40, 22
30.73, 46
42.06, 57
46.75, 72
50.84, 36
58.87, 8
61.00, 19
63.14, 9
69.85, 9

---

The following is a theoretical X-ray diffraction stick pattern of Pr2MnGaPt6. It was derived from the GGA-PBE geometry in Alexandria, using copper Kα.
Kinematic intensities with the Lorentz-polarization factor, no thermal factor.

Atomic structure:
abc: 8.492 8.492 8.492
angles: 38.99 38.99 38.99
Fractional coordinates of all 10 atoms:
Pr (0.204, 0.204, 0.204)
Pr (0.796, 0.796, 0.796)
Mn (0.500, 0.500, 0.500)
Ga (0.000, 0.000, 0.000)
Pt (0.251, 0.251, 0.749)
Pt (0.251, 0.749, 0.251)
Pt (0.251, 0.749, 0.749)
Pt (0.749, 0.251, 0.251)
Pt (0.749, 0.251, 0.749)
Pt (0.749, 0.749, 0.251)

Principal peaks in the range 2θ from 10° to 80°, sorted by position:
2theta, I_rel
11.29, 14
19.60, 23
22.69, 69
26.24, 14
37.43, 96
39.23, 33
39.80, 100
42.64, 26
48.31, 35
63.92, 16
65.91, 29
70.69, 19

---

The following is a theoretical X-ray diffraction stick pattern of MnGaPt14. It was derived from the GGA-PBE geometry in Alexandria, using copper Kα.
Kinematic intensities with the Lorentz-polarization factor, no thermal factor.

Atomic structure:
abc: 9.238 5.566 5.566
angles: 60.40 90.00 90.00
Fractional coordinates of all 16 atoms:
Mn (0.000, 0.000, 0.000)
Ga (0.000, 0.503, 0.503)
Pt (0.000, 0.009, 0.506)
Pt (0.000, 0.506, 0.009)
Pt (0.237, 0.326, 0.824)
Pt (0.237, 0.824, 0.326)
Pt (0.247, 0.828, 0.828)
Pt (0.249, 0.326, 0.326)
Pt (0.500, 0.149, 0.149)
Pt (0.500, 0.151, 0.651)
Pt (0.500, 0.651, 0.151)
Pt (0.500, 0.651, 0.651)
Pt (0.751, 0.326, 0.326)
Pt (0.753, 0.828, 0.828)
Pt (0.763, 0.326, 0.824)
Pt (0.763, 0.824, 0.326)

Principal peaks in the range 2θ from 10° to 80°, sorted by position:
2theta, I_rel
37.15, 8
37.39, 10
38.46, 26
38.68, 19
39.00, 45
42.16, 100
42.37, 32
47.81, 14
47.99, 10
66.83, 10
67.29, 17
72.81, 19

---

The following is a theoretical X-ray diffraction stick pattern of Mn2GaPt4. It was derived from the GGA-PBE geometry in Alexandria, using copper Kα.
Kinematic intensities with the Lorentz-polarization factor, no thermal factor.

Atomic structure:
abc: 5.332 5.332 4.042
angles: 90.00 90.00 93.62
Fractional coordinates of all 7 atoms:
Mn (0.207, 0.793, 0.000)
Mn (0.793, 0.207, 0.000)
Ga (0.500, 0.500, 0.500)
Pt (0.000, 0.500, 0.500)
Pt (0.284, 0.284, 0.000)
Pt (0.500, 0.000, 0.500)
Pt (0.716, 0.716, 0.000)

Principal peaks in the range 2θ from 10° to 80°, sorted by position:
2theta, I_rel
24.39, 34
31.94, 42
40.59, 100
44.84, 21
45.03, 10
46.73, 16
49.98, 11
51.70, 9
53.40, 11
66.77, 11
72.23, 9
79.78, 14

---

The following is a theoretical X-ray diffraction stick pattern of MnGaPt. It was derived from the GGA-PBE geometry in Alexandria, using copper Kα.
Kinematic intensities with the Lorentz-polarization factor, no thermal factor.

Atomic structure:
abc: 4.360 4.360 5.498
angles: 90.00 90.00 120.00
Fractional coordinates of all 6 atoms:
Mn (0.000, 0.000, 0.000)
Mn (0.000, 0.000, 0.500)
Ga (0.333, 0.667, 0.250)
Ga (0.667, 0.333, 0.750)
Pt (0.333, 0.667, 0.750)
Pt (0.667, 0.333, 0.250)

Principal peaks in the range 2θ from 10° to 80°, sorted by position:
2theta, I_rel
23.56, 24
28.68, 54
32.57, 27
40.59, 73
41.42, 100
51.16, 11
53.66, 41
55.75, 9
59.39, 23
67.85, 10
74.98, 23
75.54, 17

---

The following is a theoretical X-ray diffraction stick pattern of Pu2MnGa3Pt4. It was derived from the GGA-PBE geometry in Alexandria, using copper Kα.
Kinematic intensities with the Lorentz-polarization factor, no thermal factor.

Atomic structure:
abc: 4.098 4.098 11.260
angles: 90.00 90.00 90.00
Fractional coordinates of all 10 atoms:
Pu (0.000, 0.500, 0.249)
Pu (0.500, 0.000, 0.751)
Mn (0.500, 0.500, 0.000)
Ga (0.000, 0.000, 0.000)
Ga (0.000, 0.500, 0.633)
Ga (0.500, 0.000, 0.367)
Pt (0.000, 0.000, 0.500)
Pt (0.000, 0.500, 0.854)
Pt (0.500, 0.000, 0.146)
Pt (0.500, 0.500, 0.500)

Principal peaks in the range 2θ from 10° to 80°, sorted by position:
2theta, I_rel
23.71, 14
30.86, 13
31.86, 23
32.34, 50
34.82, 100
44.20, 50
44.89, 12
45.98, 37
55.82, 22
64.29, 16
65.68, 26
75.24, 22

---

The following is a theoretical X-ray diffraction stick pattern of PuMnGa. It was derived from the GGA-PBE geometry in Alexandria, using copper Kα.
Kinematic intensities with the Lorentz-polarization factor, no thermal factor.

Atomic structure:
abc: 5.314 5.314 5.314
angles: 121.41 117.40 91.07
Fractional coordinates of all 6 atoms:
Pu (0.391, 0.141, 0.250)
Pu (0.609, 0.859, 0.750)
Mn (0.000, 0.500, 0.500)
Mn (0.500, 0.500, 0.000)
Ga (0.000, 0.000, 0.500)
Ga (0.000, 0.500, 0.000)

Principal peaks in the range 2θ from 10° to 80°, sorted by position:
2theta, I_rel
20.02, 32
20.83, 21
32.43, 28
33.77, 85
34.49, 18
38.86, 46
39.82, 18
40.22, 100
58.70, 18
61.30, 24
63.13, 18
71.02, 22